For PuPaSiPt, a crystal structure in Alexandria, relaxed with GGA-PBE gives the computed powder diffraction line list in this record (Cu Kα).
Intensities are scaled so that the largest is 100.

Main lines, by angle (10° ≤ 2θ ≤ 90°):
27.54°, I 23
32.31°, I 100
33.58°, I 67
40.40°, I 57
44.46°, I 20
44.87°, I 20
53.50°, I 20
56.85°, I 31
61.97°, I 14
74.81°, I 15

Crystal structure
```
data_PuPaSiPt
_cell_length_a 4.0758
_cell_length_b 5.7035
_cell_length_c 5.7035
_cell_angle_alpha 41.48
_cell_angle_beta 90.00
_cell_angle_gamma 90.00
_symmetry_space_group_name_H-M 'P 1'
_symmetry_Int_Tables_number 1
loop_
_symmetry_equiv_pos_as_xyz
'x,y,z'
loop_
_atom_site_label
_atom_site_fract_x
_atom_site_fract_y
_atom_site_fract_z
Pu1 0.0000 0.0000 0.0000
Pa1 0.5000 0.2944 0.2944
Si1 0.5000 0.5740 0.5740
Pt1 0.0000 0.7255 0.7255
```